[1]
For Cs2NdMn2Se4, a structure optimized by DFT (PBE) gives the simulated powder diffraction line list in this record (λ = 1.5418 Å (Cu Kα)).
Kinematic intensities with the Lorentz-polarization factor, no thermal factor.

Crystal structure
```
data_Cs2NdMn2Se4
_chemical_formula_sum 'Cs4 Nd2 Mn4 Se8'
_space_group_name_H-M_alt 'C 1 2/m 1'
_space_group_IT_number 12
_cell_length_a 15.927
_cell_length_b 4.324
_cell_length_c 8.537
_cell_angle_alpha 90.00
_cell_angle_beta 108.57
_cell_angle_gamma 90.00
loop_
_space_group_symop_operation_xyz
'x,y,z'
'-x,-y,-z'
'-x,y,-z'
'x,-y,z'
'x+1/2,y+1/2,z'
'-x+1/2,-y+1/2,-z'
'-x+1/2,y+1/2,-z'
'x+1/2,-y+1/2,z'
loop_
_atom_site_label
_atom_site_type_symbol
_atom_site_fract_x
_atom_site_fract_y
_atom_site_fract_z
Cs1 Cs 0.134 0.000 0.052
Nd1 Nd 0.000 0.000 0.500
Mn1 Mn 0.178 0.500 0.482
Se1 Se 0.024 0.500 0.275
Se2 Se 0.199 0.000 0.657
```

Peak list (10 most intense, 2θ from 10° to 90°, by angle)
26.7°, rel. 25, hkl 4 0 -2
27.2°, rel. 42, hkl 3 1 -1
29.1°, rel. 42, hkl 4 0 1
29.4°, rel. 100, hkl 1 1 -2
31.5°, rel. 35, hkl 3 1 1
35.0°, rel. 26, hkl 5 1 -1
41.8°, rel. 31, hkl 0 2 0
46.0°, rel. 21, hkl 7 1 -2
47.9°, rel. 37, hkl 3 1 3
51.7°, rel. 26, hkl 4 2 1

***

[2]
For Li2CrAu9, a structure optimized by DFT (PBE) gives the simulated powder diffraction line list in this record (λ = 1.5418 Å (Cu Kα)).
Kinematic intensities with the Lorentz-polarization factor, no thermal factor.

Crystal structure
```
data_Li2CrAu9
_chemical_formula_sum 'Li2 Cr1 Au9'
_space_group_name_H-M_alt 'P 4/m m m'
_space_group_IT_number 123
_space_group_name_Hall '-P 4 2'
_cell_length_a 4.089
_cell_length_b 4.089
_cell_length_c 12.253
_cell_angle_alpha 90.00
_cell_angle_beta 90.00
_cell_angle_gamma 90.00
loop_
_atom_site_label
_atom_site_type_symbol
_atom_site_fract_x
_atom_site_fract_y
_atom_site_fract_z
Li1 Li 0.000 0.000 0.164
Cr1 Cr 0.000 0.000 0.500
Au1 Au 0.000 0.500 0.000
Au2 Au 0.000 0.500 0.331
Au3 Au 0.500 0.500 0.165
Au4 Au 0.500 0.500 0.500
```

Peak list (10 most intense, 2θ from 10° to 90°, by angle)
21.7°, rel. 25, hkl 1 0 0
30.9°, rel. 21, hkl 1 1 0
38.1°, rel. 100, hkl 1 1 3
44.3°, rel. 49, hkl 2 0 0
49.9°, rel. 12, hkl 2 1 0
55.0°, rel. 9, hkl 2 1 3
64.5°, rel. 33, hkl 2 2 0
68.9°, rel. 6, hkl 3 0 0
77.4°, rel. 39, hkl 3 1 3
81.6°, rel. 12, hkl 2 2 6

***

[3]
For La2BiHN, a structure optimized by DFT (PBE) gives the simulated powder diffraction line list in this record (λ = 1.5418 Å (Cu Kα)).
Kinematic intensities with the Lorentz-polarization factor, no thermal factor.

Crystal structure
```
data_La2BiHN
_chemical_formula_sum 'La4 Bi2 H2 N2'
_space_group_name_H-M_alt 'I -4 m 2'
_space_group_IT_number 119
_space_group_name_Hall 'I -4 -2'
_cell_length_a 3.967
_cell_length_b 3.967
_cell_length_c 14.688
_cell_angle_alpha 90.00
_cell_angle_beta 90.00
_cell_angle_gamma 90.00
loop_
_atom_site_label
_atom_site_type_symbol
_atom_site_fract_x
_atom_site_fract_y
_atom_site_fract_z
La1 La 0.000 0.000 0.160
Bi1 Bi 0.000 0.000 0.500
H1 H 0.000 0.500 0.250
N1 N 0.000 0.500 0.750
```

Peak list (10 most intense, 2θ from 10° to 90°, by angle)
29.0°, rel. 100, hkl 1 0 3
31.9°, rel. 37, hkl 1 1 0
36.7°, rel. 12, hkl 0 0 6
45.7°, rel. 15, hkl 2 0 0
49.4°, rel. 24, hkl 1 1 6
55.1°, rel. 34, hkl 2 1 3
60.0°, rel. 12, hkl 2 0 6
61.4°, rel. 11, hkl 1 0 9
79.9°, rel. 11, hkl 2 1 9
87.3°, rel. 10, hkl 3 1 6

***

[4]
For Cs2Si2PbSe6, a structure optimized by DFT (PBE) gives the simulated powder diffraction line list in this record (λ = 1.5418 Å (Cu Kα)).
Kinematic intensities with the Lorentz-polarization factor, no thermal factor.

Crystal structure
```
data_Cs2Si2PbSe6
_chemical_formula_sum 'Cs6 Si6 Pb3 Se18'
_space_group_name_H-M_alt 'R -3 m'
_space_group_IT_number 166
_space_group_name_Hall '-R 3 2"'
_cell_length_a 7.5855
_cell_length_b 7.5855
_cell_length_c 25.4696
_cell_angle_alpha 90.00
_cell_angle_beta 90.00
_cell_angle_gamma 120.00
loop_
_atom_site_label
_atom_site_type_symbol
_atom_site_fract_x
_atom_site_fract_y
_atom_site_fract_z
Cs1 Cs 0.0000 0.0000 0.2209
Si1 Si 0.0000 0.0000 0.4135
Pb1 Pb 0.0000 0.0000 0.0000
Se1 Se 0.0010 0.5005 0.7525
```

Peak list (10 most intense, 2θ from 10° to 90°, by angle)
13.9°, rel. 34, hkl 1 0 1
22.1°, rel. 64, hkl 0 1 5
23.5°, rel. 36, hkl 1 1 0
28.1°, rel. 43, hkl 2 0 2
30.6°, rel. 100, hkl 0 2 4
32.4°, rel. 30, hkl 2 0 5
39.4°, rel. 33, hkl 2 0 8
39.7°, rel. 26, hkl 1 1 9
40.4°, rel. 27, hkl 1 2 5
48.0°, rel. 40, hkl 2 2 0

***

[5]
For La8Tb3Er, a structure optimized by DFT (PBE) gives the simulated powder diffraction line list in this record (λ = 1.5418 Å (Cu Kα)).
Kinematic intensities with the Lorentz-polarization factor, no thermal factor.

Crystal structure
```
data_La8Tb3Er
_chemical_formula_sum 'La16 Tb6 Er2'
_space_group_name_H-M_alt 'I m m m'
_space_group_IT_number 71
_space_group_name_Hall '-I 2 2'
_cell_length_a 6.877
_cell_length_b 11.193
_cell_length_c 11.708
_cell_angle_alpha 90.00
_cell_angle_beta 90.00
_cell_angle_gamma 90.00
loop_
_atom_site_label
_atom_site_type_symbol
_atom_site_fract_x
_atom_site_fract_y
_atom_site_fract_z
La1 La 0.000 0.163 0.249
La2 La 0.221 0.274 0.000
Tb1 Tb 0.000 0.000 0.500
Tb2 Tb 0.000 0.500 0.236
Er1 Er 0.000 0.000 0.000
```

Peak list (10 most intense, 2θ from 10° to 90°, by angle)
21.5°, rel. 19, hkl 1 1 2
30.1°, rel. 40, hkl 2 0 2
30.5°, rel. 80, hkl 0 0 4
31.3°, rel. 100, hkl 1 3 2
34.2°, rel. 34, hkl 2 2 2
35.6°, rel. 15, hkl 0 4 2
43.7°, rel. 20, hkl 2 2 4
49.2°, rel. 25, hkl 3 3 2
54.7°, rel. 19, hkl 1 3 6
65.2°, rel. 17, hkl 2 6 4

***

[6]
For Tb3CdB, a structure optimized by DFT (PBE) gives the simulated powder diffraction line list in this record (λ = 1.5418 Å (Cu Kα)).
Kinematic intensities with the Lorentz-polarization factor, no thermal factor.

Crystal structure
```
data_Tb3CdB
_chemical_formula_sum 'Tb3 Cd1 B1'
_space_group_name_H-M_alt 'P m -3 m'
_space_group_IT_number 221
_space_group_name_Hall '-P 4 2 3'
_cell_length_a 5.076
_cell_length_b 5.076
_cell_length_c 5.076
_cell_angle_alpha 90.00
_cell_angle_beta 90.00
_cell_angle_gamma 90.00
loop_
_atom_site_label
_atom_site_type_symbol
_atom_site_fract_x
_atom_site_fract_y
_atom_site_fract_z
Tb1 Tb 0.000 0.000 0.500
Cd1 Cd 0.500 0.500 0.500
B1 B 0.000 0.000 0.000
```

Peak list (10 most intense, 2θ from 10° to 90°, by angle)
17.5°, rel. 2, hkl 1 0 0
30.5°, rel. 100, hkl 1 1 1
35.4°, rel. 54, hkl 2 0 0
39.7°, rel. 1, hkl 2 1 0
50.9°, rel. 38, hkl 2 2 0
60.5°, rel. 43, hkl 3 1 1
63.5°, rel. 13, hkl 2 2 2
74.8°, rel. 6, hkl 4 0 0
82.9°, rel. 18, hkl 3 3 1
85.6°, rel. 17, hkl 4 2 0

***

[7]
For LaSn2PdSe, a structure optimized by DFT (PBE) gives the simulated powder diffraction line list in this record (λ = 1.5418 Å (Cu Kα)).
Kinematic intensities with the Lorentz-polarization factor, no thermal factor.

Crystal structure
```
data_LaSn2PdSe
_chemical_formula_sum 'La1 Sn2 Pd1 Se1'
_space_group_name_H-M_alt 'P 4/m m m'
_space_group_IT_number 123
_space_group_name_Hall '-P 4 2'
_cell_length_a 6.108
_cell_length_b 6.108
_cell_length_c 5.067
_cell_angle_alpha 90.00
_cell_angle_beta 90.00
_cell_angle_gamma 90.00
loop_
_atom_site_label
_atom_site_type_symbol
_atom_site_fract_x
_atom_site_fract_y
_atom_site_fract_z
La1 La 0.000 0.000 0.000
Sn1 Sn 0.000 0.500 0.000
Pd1 Pd 0.000 0.000 0.500
Se1 Se 0.500 0.500 0.500
```

Peak list (10 most intense, 2θ from 10° to 90°, by angle)
14.5°, rel. 45, hkl 1 0 0
17.5°, rel. 19, hkl 0 0 1
27.1°, rel. 65, hkl 1 1 1
29.2°, rel. 100, hkl 2 0 0
35.4°, rel. 30, hkl 0 0 2
41.8°, rel. 38, hkl 2 2 0
46.6°, rel. 56, hkl 2 0 2
50.6°, rel. 24, hkl 3 1 1
55.9°, rel. 32, hkl 2 2 2
79.8°, rel. 24, hkl 4 2 2

***

[8]
For Tb4Ni2H, a structure optimized by DFT (PBE) gives the simulated powder diffraction line list in this record (λ = 1.5418 Å (Cu Kα)).
Kinematic intensities with the Lorentz-polarization factor, no thermal factor.

Crystal structure
```
data_Tb4Ni2H
_chemical_formula_sum 'Tb8 Ni4 H2'
_space_group_name_H-M_alt 'I 4/m m m'
_space_group_IT_number 139
_space_group_name_Hall '-I 4 2'
_cell_length_a 4.697
_cell_length_b 4.697
_cell_length_c 13.500
_cell_angle_alpha 90.00
_cell_angle_beta 90.00
_cell_angle_gamma 90.00
loop_
_atom_site_label
_atom_site_type_symbol
_atom_site_fract_x
_atom_site_fract_y
_atom_site_fract_z
Tb1 Tb 0.000 0.000 0.195
Tb2 Tb 0.000 0.500 0.000
Ni1 Ni 0.000 0.000 0.386
H1 H 0.000 0.000 0.000
```

Peak list (10 most intense, 2θ from 10° to 90°, by angle)
27.4°, rel. 17, hkl 1 0 3
30.0°, rel. 100, hkl 1 1 2
38.0°, rel. 27, hkl 1 1 4
38.3°, rel. 52, hkl 2 0 0
38.5°, rel. 33, hkl 1 0 5
55.4°, rel. 40, hkl 2 2 0
56.7°, rel. 10, hkl 2 0 6
61.7°, rel. 11, hkl 1 1 8
64.2°, rel. 23, hkl 3 1 2
82.1°, rel. 13, hkl 4 0 0